[1]
Structure and theoretical powder XRD pattern of Sr3Co2O5 (a cell relaxed with PBE+U; copper Kα).
Intensities are scaled so that the largest is 100.

Crystal structure
Lattice parameters (Å, degrees): 4.1021 20.2513 3.3486 90.00 90.00 90.00
Space group Cmmm (No. 65)
One atom of each set of equivalent atoms:
Sr: 0.0000 0.0000 0.0000 (multiplicity 2)
Sr: 0.0000 0.1865 0.0000 (multiplicity 4)
Co: 0.0000 0.4027 0.5000 (multiplicity 4)
O: 0.0000 0.0960 0.5000 (multiplicity 4)
O: 0.0000 0.3084 0.5000 (multiplicity 4)
O: 0.0000 0.5000 0.5000 (multiplicity 2)

Top 8 peaks for 15° ≤ 2θ ≤ 90°, by intensity:
| Position (°2θ) | Rel. int. |
| --- | --- |
| 34.9 | 100 |
| 31.0 | 85 |
| 37.8 | 60 |
| 44.2 | 41 |
| 61.8 | 40 |
| 41.3 | 38 |
| 32.0 | 32 |
| 59.5 | 31 |

[2]
Structure and theoretical powder XRD pattern of Sr3Co2O5 (a cell relaxed with PBE+U; copper Kα).
Intensities are scaled so that the largest is 100.

Crystal structure
Lattice parameters (Å, degrees): 3.4837 3.8607 21.1664 90.00 90.00 90.00
Space group Immm (No. 71)
One atom of each set of equivalent atoms:
Sr: 0.0000 0.0000 0.0000 (multiplicity 2)
Sr: 0.0000 0.0000 0.1885 (multiplicity 4)
Co: 0.0000 0.0000 0.4032 (multiplicity 4)
O: 0.0000 0.0000 0.3065 (multiplicity 4)
O: 0.0000 0.0000 0.5000 (multiplicity 2)
O: 0.0000 0.5000 0.4040 (multiplicity 4)

Top 8 peaks for 15° ≤ 2θ ≤ 90°, by intensity:
| Position (°2θ) | Rel. int. |
| --- | --- |
| 34.7 | 100 |
| 33.3 | 88 |
| 31.4 | 68 |
| 56.2 | 37 |
| 58.9 | 33 |
| 42.7 | 29 |
| 47.1 | 27 |
| 62.5 | 20 |

[3]
Structure and theoretical powder XRD pattern of SrCo3O4 (a cell relaxed with PBE+U; copper Kα).
Intensities are scaled so that the largest is 100.

Crystal structure
Lattice parameters (Å, degrees): 5.7406 5.7406 5.7406 90.00 90.00 90.00
Space group Pm-3n (No. 223)
One atom of each set of equivalent atoms:
Sr: 0.0000 0.0000 0.0000 (multiplicity 2)
Co: 0.0000 0.2500 0.5000 (multiplicity 6)
O: 0.2500 0.2500 0.2500 (multiplicity 8)

Top 8 peaks for 15° ≤ 2θ ≤ 90°, by intensity:
| Position (°2θ) | Rel. int. |
| --- | --- |
| 38.4 | 100 |
| 34.9 | 89 |
| 60.3 | 51 |
| 65.0 | 23 |
| 57.9 | 19 |
| 76.0 | 16 |
| 31.2 | 13 |
| 78.1 | 12 |

[4]
Structure and theoretical powder XRD pattern of SrZn3Co4O12 (a cell relaxed with PBE+U; copper Kα).
Intensities are scaled so that the largest is 100.

Crystal structure
Lattice parameters (Å, degrees): 7.2749 7.2749 7.2749 90.00 90.00 90.00
Space group Im-3 (No. 204)
One atom of each set of equivalent atoms:
Sr: 0.0000 0.0000 0.0000 (multiplicity 2)
Zn: 0.0000 0.0000 0.5000 (multiplicity 6)
Co: 0.2500 0.2500 0.2500 (multiplicity 8)
O: 0.0000 0.3041 0.1893 (multiplicity 24)

Top 8 peaks for 15° ≤ 2θ ≤ 90°, by intensity:
| Position (°2θ) | Rel. int. |
| --- | --- |
| 34.9 | 100 |
| 62.5 | 46 |
| 50.2 | 28 |
| 84.2 | 16 |
| 73.7 | 13 |
| 39.2 | 5 |
| 43.1 | 4 |
| 46.7 | 3 |

[5]
Structure and theoretical powder XRD pattern of Ta2Co2O5 (a cell relaxed with PBE+U; copper Kα).
Intensities are scaled so that the largest is 100.

Crystal structure
Lattice parameters (Å, degrees): 3.9370 3.9370 7.1785 90.00 90.00 90.00
Space group P4/mmm (No. 123)
One atom of each set of equivalent atoms:
Ta: 0.0000 0.0000 0.2181 (multiplicity 2)
Co: 0.5000 0.5000 0.0000 (multiplicity 1)
Co: 0.5000 0.5000 0.5000 (multiplicity 1)
O: 0.0000 0.0000 0.5000 (multiplicity 1)
O: 0.0000 0.5000 0.2089 (multiplicity 4)

Top 8 peaks for 15° ≤ 2θ ≤ 90°, by intensity:
| Position (°2θ) | Rel. int. |
| --- | --- |
| 33.8 | 100 |
| 32.2 | 55 |
| 22.6 | 44 |
| 58.4 | 42 |
| 46.1 | 34 |
| 24.8 | 17 |
| 44.3 | 12 |
| 61.5 | 12 |

[6]
Structure and theoretical powder XRD pattern of Tb2Co2O5 (a cell relaxed with PBE+U; copper Kα).
Intensities are scaled so that the largest is 100.

Crystal structure
Lattice parameters (Å, degrees): 3.8167 3.8167 6.9087 90.00 90.00 90.00
Space group P4/mmm (No. 123)
One atom of each set of equivalent atoms:
Tb: 0.0000 0.0000 0.0000 (multiplicity 1)
Tb: 0.0000 0.0000 0.5000 (multiplicity 1)
Co: 0.5000 0.5000 0.2098 (multiplicity 2)
O: 0.0000 0.5000 0.2187 (multiplicity 4)
O: 0.5000 0.5000 0.5000 (multiplicity 1)

Top 8 peaks for 15° ≤ 2θ ≤ 90°, by intensity:
| Position (°2θ) | Rel. int. |
| --- | --- |
| 35.0 | 100 |
| 33.2 | 53 |
| 60.5 | 41 |
| 47.7 | 33 |
| 42.5 | 28 |
| 23.3 | 25 |
| 64.0 | 13 |
| 74.0 | 12 |

[7]
Structure and theoretical powder XRD pattern of CoTe6O13 (a cell relaxed with PBE+U; copper Kα).
Intensities are scaled so that the largest is 100.

Crystal structure
Lattice parameters (Å, degrees): 10.0787 10.0787 18.8418 90.00 90.00 120.00
Space group R-3 (No. 148, hexagonal axes)
One atom of each set of equivalent atoms:
Co: 0.0000 0.0000 0.2440 (multiplicity 6)
Te: 0.0646 0.8255 0.9104 (multiplicity 18)
Te: 0.0772 0.8374 0.4066 (multiplicity 18)
O: 0.0000 0.0000 0.4161 (multiplicity 6)
O: 0.0006 0.2518 0.4516 (multiplicity 18)
O: 0.0537 0.8570 0.8114 (multiplicity 18)
O: 0.0560 0.8675 0.0690 (multiplicity 18)
O: 0.0903 0.2025 0.3071 (multiplicity 18)

Top 8 peaks for 15° ≤ 2θ ≤ 90°, by intensity:
| Position (°2θ) | Rel. int. |
| --- | --- |
| 28.7 | 100 |
| 33.2 | 49 |
| 28.4 | 37 |
| 56.5 | 27 |
| 47.8 | 26 |
| 47.4 | 26 |
| 56.2 | 14 |
| 22.5 | 13 |

[8]
Structure and theoretical powder XRD pattern of ZnCoTeO (a cell relaxed with PBE+U; copper Kα).
Intensities are scaled so that the largest is 100.

Crystal structure
Lattice parameters (Å, degrees): 5.7824 7.2848 7.8485 90.00 90.00 90.00
Space group P2_12_12_1 (No. 19)
One atom of each set of equivalent atoms:
Zn: 0.0494 0.1487 0.0415 (multiplicity 4)
Co: 0.0243 0.5497 0.8927 (multiplicity 4)
Te: 0.2322 0.8691 0.8477 (multiplicity 4)
O: 0.2198 0.3613 0.9592 (multiplicity 4)

Top 8 peaks for 15° ≤ 2θ ≤ 90°, by intensity:
| Position (°2θ) | Rel. int. |
| --- | --- |
| 22.7 | 100 |
| 40.7 | 73 |
| 27.5 | 72 |
| 19.6 | 63 |
| 27.0 | 50 |
| 36.5 | 47 |
| 45.5 | 42 |
| 42.0 | 40 |

[9]
Structure and theoretical powder XRD pattern of ZnCoTeO (a cell relaxed with PBE+U; copper Kα).
Intensities are scaled so that the largest is 100.

Crystal structure
Lattice parameters (Å, degrees): 3.6184 13.0700 5.9669 90.00 90.00 90.00
Space group Cmc2_1 (No. 36)
One atom of each set of equivalent atoms:
Zn: 0.0000 0.0483 0.0000 (multiplicity 4)
Co: 0.0000 0.3432 0.8680 (multiplicity 4)
Te: 0.0000 0.3236 0.3181 (multiplicity 4)
O: 0.0000 0.0767 0.3222 (multiplicity 4)

Top 8 peaks for 15° ≤ 2θ ≤ 90°, by intensity:
| Position (°2θ) | Rel. int. |
| --- | --- |
| 32.2 | 100 |
| 44.5 | 39 |
| 30.0 | 34 |
| 39.8 | 30 |
| 33.0 | 29 |
| 53.0 | 24 |
| 29.7 | 23 |
| 31.2 | 20 |

[10]
Structure and theoretical powder XRD pattern of ZnCoTeO (a cell relaxed with PBE+U; copper Kα).
Intensities are scaled so that the largest is 100.

Crystal structure
Lattice parameters (Å, degrees): 5.9049 3.6478 13.1319 90.00 90.00 90.00
Space group Pnma (No. 62)
One atom of each set of equivalent atoms:
Zn: 0.0981 0.2500 0.2019 (multiplicity 4)
Co: 0.2346 0.7500 0.4065 (multiplicity 4)
Te: 0.2269 0.2500 0.5737 (multiplicity 4)
O: 0.2264 0.7500 0.8270 (multiplicity 4)

Top 8 peaks for 15° ≤ 2θ ≤ 90°, by intensity:
| Position (°2θ) | Rel. int. |
| --- | --- |
| 31.9 | 100 |
| 44.6 | 36 |
| 30.3 | 29 |
| 50.0 | 17 |
| 39.9 | 17 |
| 33.3 | 17 |
| 20.2 | 13 |
| 29.6 | 12 |

[11]
Structure and theoretical powder XRD pattern of YCoO3 (a cell relaxed with PBE+U; copper Kα).
Intensities are scaled so that the largest is 100.

Crystal structure
Lattice parameters (Å, degrees): 5.3462 5.3462 12.2845 90.00 90.00 120.00
Space group R-3c (No. 167, hexagonal axes)
One atom of each set of equivalent atoms:
Y: 0.0000 0.0000 0.2500 (multiplicity 6)
Co: 0.0000 0.0000 0.0000 (multiplicity 6)
O: 0.0000 0.4150 0.2500 (multiplicity 18)

Top 8 peaks for 15° ≤ 2θ ≤ 90°, by intensity:
| Position (°2θ) | Rel. int. |
| --- | --- |
| 35.1 | 100 |
| 33.5 | 99 |
| 49.3 | 61 |
| 60.9 | 41 |
| 59.9 | 28 |
| 63.9 | 17 |
| 83.8 | 16 |
| 74.1 | 16 |

[12]
Structure and theoretical powder XRD pattern of Zn6CoO8 (a cell relaxed with PBE+U; copper Kα).
Intensities are scaled so that the largest is 100.

Crystal structure
Lattice parameters (Å, degrees): 8.4281 8.4281 8.4281 90.00 90.00 90.00
Space group Fm-3m (No. 225)
One atom of each set of equivalent atoms:
Zn: 0.0000 0.2500 0.2500 (multiplicity 24)
Co: 0.0000 0.0000 0.0000 (multiplicity 4)
O: 0.0000 0.0000 0.2269 (multiplicity 24)
O: 0.2500 0.2500 0.2500 (multiplicity 8)

Top 8 peaks for 15° ≤ 2θ ≤ 90°, by intensity:
| Position (°2θ) | Rel. int. |
| --- | --- |
| 42.9 | 100 |
| 36.9 | 73 |
| 62.3 | 58 |
| 74.7 | 30 |
| 18.2 | 21 |
| 78.7 | 18 |
| 21.1 | 11 |
| 30.0 | 9 |

Please write out number 11 again, unchanged.
Structure and theoretical powder XRD pattern of YCoO3 (a cell relaxed with PBE+U; copper Kα).
Intensities are scaled so that the largest is 100.

Crystal structure
Lattice parameters (Å, degrees): 5.3462 5.3462 12.2845 90.00 90.00 120.00
Space group R-3c (No. 167, hexagonal axes)
One atom of each set of equivalent atoms:
Y: 0.0000 0.0000 0.2500 (multiplicity 6)
Co: 0.0000 0.0000 0.0000 (multiplicity 6)
O: 0.0000 0.4150 0.2500 (multiplicity 18)

Top 8 peaks for 15° ≤ 2θ ≤ 90°, by intensity:
| Position (°2θ) | Rel. int. |
| --- | --- |
| 35.1 | 100 |
| 33.5 | 99 |
| 49.3 | 61 |
| 60.9 | 41 |
| 59.9 | 28 |
| 63.9 | 17 |
| 83.8 | 16 |
| 74.1 | 16 |

Please write out number 12 again, unchanged.
Structure and theoretical powder XRD pattern of Zn6CoO8 (a cell relaxed with PBE+U; copper Kα).
Intensities are scaled so that the largest is 100.

Crystal structure
Lattice parameters (Å, degrees): 8.4281 8.4281 8.4281 90.00 90.00 90.00
Space group Fm-3m (No. 225)
One atom of each set of equivalent atoms:
Zn: 0.0000 0.2500 0.2500 (multiplicity 24)
Co: 0.0000 0.0000 0.0000 (multiplicity 4)
O: 0.0000 0.0000 0.2269 (multiplicity 24)
O: 0.2500 0.2500 0.2500 (multiplicity 8)

Top 8 peaks for 15° ≤ 2θ ≤ 90°, by intensity:
| Position (°2θ) | Rel. int. |
| --- | --- |
| 42.9 | 100 |
| 36.9 | 73 |
| 62.3 | 58 |
| 74.7 | 30 |
| 18.2 | 21 |
| 78.7 | 18 |
| 21.1 | 11 |
| 30.0 | 9 |